Structure and simulated powder diffractogram of Er4TlInN2 (a crystal structure in OQMD, relaxed with GGA-PBE; Cu Ka).
Neutral-atom scattering factors, no anomalous dispersion.

abc: 3.4833 3.4833 15.5941
angles: 90.00 90.00 120.00
Space group P-6m2 (No. 187)
Inequivalent atoms, fractional coordinates:
Er 0.0000 0.0000 0.1655 [2 per cell]
Er 0.3333 0.6667 0.3340 [2 per cell]
Tl 0.0000 0.0000 0.5000 [1 per cell]
In 0.3333 0.6667 0.0000 [1 per cell]
N 0.6667 0.3333 0.2503 [2 per cell]

Most intense lines, 10 to 80 degrees two-theta, low angle first:
| 2θ/deg | d [Å] | I (rel.) | h k l |
| --- | --- | --- | --- |
| 29.61 | 3.017 | 22 | 1 0 0 |
| 34.37 | 2.609 | 100 | 1 0 3 |
| 34.51 | 2.599 | 21 | 0 0 6 |
| 46.10 | 1.969 | 16 | 1 0 6 |
| 52.54 | 1.742 | 21 | 1 1 0 |
| 61.74 | 1.502 | 19 | 1 0 9 |
| 64.36 | 1.448 | 37 | 1 1 6 |
| 72.45 | 1.305 | 4 | 2 0 6 |